Simulated X-ray powder pattern of RbBi4Pb4 for Cu Kα, 1.54184 Å, from a structure optimized by DFT (PBE).
Neutral-atom scattering factors, no anomalous dispersion.

Cell and atoms:
```
RbBi4Pb4
1.0
10.1124 0.0000 0.0000
0.0000 10.1124 0.0000
0.0000 0.0000 6.2325
Rb Bi Pb
2 8 8
direct
0.2500 0.2500 0.2500
0.7500 0.7500 0.7500
0.0270 0.1327 0.6756
0.1327 0.4730 0.8244
0.3673 0.0270 0.8244
0.4730 0.3673 0.6756
0.5270 0.6327 0.3244
0.6327 0.9730 0.1756
0.8673 0.5270 0.1756
0.9730 0.8673 0.3244
0.1070 0.8249 0.8547
0.1751 0.6070 0.3547
0.3249 0.8930 0.3547
0.3930 0.6751 0.8547
0.6070 0.3249 0.1453
0.6751 0.1070 0.6453
0.8249 0.3930 0.6453
0.8930 0.1751 0.1453
```

Main lines, sorted by position (2θ from 10° to 80°):
2θ/deg	I_rel
12.38	27.0
27.90	85.6
28.79	31.0
30.01	65.2
30.14	71.3
34.97	36.1
35.09	100.0
57.34	31.7


Simulated X-ray powder pattern of Rb2BiRh2Pb2 for Cu Kα, 1.54184 Å, from a structure optimized by DFT (PBE).
Neutral-atom scattering factors, no anomalous dispersion.

Cell and atoms:
```
Rb2BiRh2Pb2
1.0
-2.5608 2.5608 9.3699
2.5608 -2.5608 9.3699
2.5608 2.5608 -9.3699
Rb Bi Rh Pb
2 1 2 2
direct
0.1845 0.1845 0.0000
0.8155 0.8155 0.0000
0.0000 0.0000 0.0000
0.0000 0.5000 0.5000
0.5000 0.0000 0.5000
0.4137 0.4137 0.0000
0.5863 0.5863 0.0000
```

Main lines, sorted by position (2θ from 10° to 80°):
2θ/deg	I_rel
24.58	48.4
29.53	100.0
35.04	60.0
36.37	26.3
37.92	23.1
46.46	58.7
50.40	21.5
52.59	18.5


Simulated X-ray powder pattern of Rb2SnBi2Pb for Cu Kα, 1.54184 Å, from a structure optimized by DFT (PBE).
Neutral-atom scattering factors, no anomalous dispersion.

Cell and atoms:
```
Rb2SnBi2Pb
1.0
-4.0035 8.2462 3.9568
4.0035 -8.2462 3.9568
4.0035 8.2462 -3.9568
Rb Sn Bi Pb
4 2 4 2
direct
0.1652 0.2466 0.4118
0.3348 0.7466 0.0814
0.6652 0.2534 0.9186
0.8348 0.7534 0.5882
0.2500 0.2500 0.0000
0.7500 0.7500 0.0000
0.0976 0.7633 0.8608
0.4024 0.2633 0.6657
0.5976 0.7367 0.3343
0.9024 0.2367 0.1392
0.2500 0.7500 0.5000
0.7500 0.2500 0.5000
```

Main lines, sorted by position (2θ from 10° to 80°):
2θ/deg	I_rel
10.73	100.0
19.09	42.2
26.80	59.9
31.14	65.5
31.33	65.3
31.80	95.2
33.65	28.9
56.48	25.7